[1]
Diffraction record for NaZr2PdF11. The X-ray powder pattern is computed, not measured: it uses the PBE geometry in the Materials Project and Cu Kα, 1.54184 Å.
No peak broadening, texture or thermal motion is included.

Structural model:
```
data_NaZr2PdF11
_symmetry_space_group_name_H-M 'C 1 2/m 1'
_symmetry_Int_Tables_number 12
_symmetry_space_group_name_Hall '-C 2y'
_cell_length_a 9.419
_cell_length_b 6.976
_cell_length_c 7.966
_cell_angle_alpha 90.00
_cell_angle_beta 115.83
_cell_angle_gamma 90.00
loop_
_atom_site_label
_atom_site_fract_x
_atom_site_fract_y
_atom_site_fract_z
Na1 0.000 0.000 0.000
Zr1 0.000 0.500 0.232
Pd1 0.000 0.000 0.500
F1 0.000 0.333 0.000
F2 0.000 0.500 0.500
F3 0.010 0.210 0.300
F4 0.234 0.500 0.890
F5 0.242 0.500 0.350
```

Principal peaks in the range 2θ from 10° to 80°, in order of rising 2θ:
| h k l | d [Å] | 2θ (°) | I_rel |
| --- | --- | --- | --- |
| 1 1 -1 | 5.027 | 17.64 | 29 |
| 2 0 0 | 4.239 | 20.96 | 100 |
| 0 2 0 | 3.488 | 25.54 | 45 |
| 1 1 -2 | 3.459 | 25.76 | 92 |
| 3 1 -2 | 2.695 | 33.25 | 26 |
| 4 0 0 | 2.119 | 42.66 | 28 |
| 1 3 -2 | 2.008 | 45.15 | 35 |
| 2 0 -4 | 1.991 | 45.56 | 17 |
| 5 1 -2 | 1.818 | 50.17 | 25 |
| 4 0 -4 | 1.811 | 50.39 | 31 |


[2]
Diffraction record for NaPrF4. The X-ray powder pattern is computed, not measured: it uses the PBE geometry in the Materials Project and Cu Kα, 1.54184 Å.
No peak broadening, texture or thermal motion is included.

Structural model:
```
data_NaPrF4
_symmetry_space_group_name_H-M 'P 1'
_symmetry_Int_Tables_number 1
_symmetry_space_group_name_Hall 'P 1'
_cell_length_a 6.206
_cell_length_b 7.257
_cell_length_c 7.266
_cell_angle_alpha 62.77
_cell_angle_beta 64.76
_cell_angle_gamma 64.74
loop_
_atom_site_label
_atom_site_fract_x
_atom_site_fract_y
_atom_site_fract_z
Na1 0.000 0.000 0.000
Na2 0.009 0.485 0.481
Na3 0.672 0.444 0.207
Pr1 0.337 0.516 0.802
Pr2 0.340 0.017 0.296
Pr3 0.673 0.940 0.707
F1 0.092 0.752 0.530
F2 0.098 0.255 0.037
F3 0.309 0.909 0.685
F4 0.313 0.399 0.182
F5 0.385 0.303 0.606
F6 0.389 0.835 0.071
F7 0.599 0.647 0.429
F8 0.620 0.146 0.923
F9 0.699 0.564 0.800
F10 0.700 0.031 0.331
F11 0.931 0.723 0.954
F12 0.933 0.184 0.490
```

Principal peaks in the range 2θ from 10° to 80°, in order of rising 2θ:
| h k l | d [Å] | 2θ (°) | I_rel |
| --- | --- | --- | --- |
| 0 1 0 | 6.183 | 14.32 | 19 |
| 0 1 1 | 5.372 | 16.50 | 66 |
| 2 1 1 | 3.098 | 28.82 | 100 |
| 0 2 0 | 3.090 | 28.89 | 35 |
| 2 0 2 | 2.398 | 37.50 | 13 |
| 2 3 1 | 2.190 | 41.22 | 62 |
| 3 3 3 | 1.790 | 51.02 | 63 |
| -1 3 1 | 1.787 | 51.10 | 15 |
| 1 -2 2 | 1.783 | 51.22 | 13 |
| 4 4 2 | 1.387 | 67.56 | 11 |


[3]
Diffraction record for Rb2NaPrF6. The X-ray powder pattern is computed, not measured: it uses the PBE geometry in the Materials Project and Cu Kα, 1.54184 Å.
No peak broadening, texture or thermal motion is included.

Structural model:
```
data_Rb2NaPrF6
_symmetry_space_group_name_H-M 'F m -3 m'
_symmetry_Int_Tables_number 225
_symmetry_space_group_name_Hall '-F 4 2 3'
_cell_length_a 9.239
_cell_length_b 9.239
_cell_length_c 9.239
_cell_angle_alpha 90.00
_cell_angle_beta 90.00
_cell_angle_gamma 90.00
loop_
_atom_site_label
_atom_site_fract_x
_atom_site_fract_y
_atom_site_fract_z
Rb1 0.250 0.250 0.250
Na1 0.000 0.000 0.000
Pr1 0.000 0.000 0.500
F1 0.000 0.000 0.251
```

Principal peaks in the range 2θ from 10° to 80°, in order of rising 2θ:
| h k l | d [Å] | 2θ (°) | I_rel |
| --- | --- | --- | --- |
| 1 1 1 | 5.334 | 16.62 | 34 |
| 2 2 0 | 3.266 | 27.30 | 100 |
| 3 1 1 | 2.786 | 32.13 | 20 |
| 4 0 0 | 2.310 | 39.00 | 45 |
| 3 3 1 | 2.120 | 42.66 | 9 |
| 4 2 2 | 1.886 | 48.26 | 42 |
| 4 4 0 | 1.633 | 56.33 | 28 |
| 6 2 0 | 1.461 | 63.71 | 19 |
| 4 4 4 | 1.333 | 70.64 | 9 |
| 6 4 2 | 1.235 | 77.28 | 22 |


[4]
Diffraction record for Na2PtF6. The X-ray powder pattern is computed, not measured: it uses the PBE geometry in the Materials Project and Cu Kα, 1.54184 Å.
No peak broadening, texture or thermal motion is included.

Structural model:
```
data_Na2PtF6
_symmetry_space_group_name_H-M 'P 3 2 1'
_symmetry_Int_Tables_number 150
_symmetry_space_group_name_Hall 'P 3 2"'
_cell_length_a 9.4480
_cell_length_b 9.4480
_cell_length_c 5.1950
_cell_angle_alpha 90.00
_cell_angle_beta 90.00
_cell_angle_gamma 120.00
loop_
_atom_site_label
_atom_site_fract_x
_atom_site_fract_y
_atom_site_fract_z
Na1 0.0000 0.2962 0.0000
Na2 0.0000 0.6303 0.5000
Pt1 0.0000 0.0000 0.5000
Pt2 0.3333 0.6667 0.0039
F1 0.0942 0.8932 0.2910
F2 0.1353 0.5493 0.2178
F3 0.2204 0.7532 0.7897
```

Principal peaks in the range 2θ from 10° to 80°, in order of rising 2θ:
| h k l | d [Å] | 2θ (°) | I_rel |
| --- | --- | --- | --- |
| 1 1 0 | 4.724 | 18.78 | 100 |
| 1 0 1 | 4.386 | 20.25 | 89 |
| 1 1 1 | 3.495 | 25.49 | 17 |
| 0 2 1 | 3.214 | 27.76 | 45 |
| 3 0 0 | 2.727 | 32.84 | 24 |
| 2 1 1 | 2.657 | 33.73 | 43 |
| 1 1 2 | 2.276 | 39.60 | 22 |
| 1 3 1 | 2.080 | 43.52 | 17 |
| 0 3 2 | 1.881 | 48.39 | 40 |
| 3 2 1 | 1.765 | 51.78 | 19 |


[5]
Diffraction record for Rb2NaRhF6. The X-ray powder pattern is computed, not measured: it uses the PBE geometry in the Materials Project and Cu Kα, 1.54184 Å.
No peak broadening, texture or thermal motion is included.

Structural model:
```
data_Rb2NaRhF6
_symmetry_space_group_name_H-M 'F m -3 m'
_symmetry_Int_Tables_number 225
_symmetry_space_group_name_Hall '-F 4 2 3'
_cell_length_a 8.665
_cell_length_b 8.665
_cell_length_c 8.665
_cell_angle_alpha 90.00
_cell_angle_beta 90.00
_cell_angle_gamma 90.00
loop_
_atom_site_label
_atom_site_fract_x
_atom_site_fract_y
_atom_site_fract_z
Rb1 0.250 0.250 0.250
Na1 0.000 0.000 0.000
Rh1 0.000 0.000 0.500
F1 0.000 0.000 0.267
```

Principal peaks in the range 2θ from 10° to 80°, in order of rising 2θ:
| h k l | d [Å] | 2θ (°) | I_rel |
| --- | --- | --- | --- |
| 1 1 1 | 5.003 | 17.73 | 29 |
| 2 2 0 | 3.064 | 29.15 | 100 |
| 3 1 1 | 2.613 | 34.32 | 11 |
| 2 2 2 | 2.501 | 35.90 | 14 |
| 4 0 0 | 2.166 | 41.69 | 45 |
| 4 2 2 | 1.769 | 51.68 | 39 |
| 5 1 1 | 1.668 | 55.07 | 6 |
| 4 4 0 | 1.532 | 60.43 | 27 |
| 6 2 0 | 1.370 | 68.48 | 18 |
| 4 4 4 | 1.251 | 76.11 | 9 |


[6]
Diffraction record for Rb2NaRuF6. The X-ray powder pattern is computed, not measured: it uses the PBE geometry in the Materials Project and Cu Kα, 1.54184 Å.
No peak broadening, texture or thermal motion is included.

Structural model:
```
data_Rb2NaRuF6
_symmetry_space_group_name_H-M 'F m -3 m'
_symmetry_Int_Tables_number 225
_symmetry_space_group_name_Hall '-F 4 2 3'
_cell_length_a 8.673
_cell_length_b 8.673
_cell_length_c 8.673
_cell_angle_alpha 90.00
_cell_angle_beta 90.00
_cell_angle_gamma 90.00
loop_
_atom_site_label
_atom_site_fract_x
_atom_site_fract_y
_atom_site_fract_z
Rb1 0.250 0.250 0.250
Na1 0.000 0.000 0.000
Ru1 0.000 0.000 0.500
F1 0.000 0.000 0.266
```

Principal peaks in the range 2θ from 10° to 80°, in order of rising 2θ:
| h k l | d [Å] | 2θ (°) | I_rel |
| --- | --- | --- | --- |
| 1 1 1 | 5.007 | 17.71 | 27 |
| 2 2 0 | 3.066 | 29.12 | 100 |
| 3 1 1 | 2.615 | 34.29 | 11 |
| 2 2 2 | 2.504 | 35.87 | 14 |
| 4 0 0 | 2.168 | 41.66 | 46 |
| 4 2 2 | 1.770 | 51.63 | 40 |
| 5 1 1 | 1.669 | 55.02 | 5 |
| 4 4 0 | 1.533 | 60.38 | 27 |
| 6 2 0 | 1.371 | 68.42 | 18 |
| 4 4 4 | 1.252 | 76.03 | 9 |


[7]
Diffraction record for Rb2NaScF6. The X-ray powder pattern is computed, not measured: it uses the PBE geometry in the Materials Project and Cu Kα, 1.54184 Å.
No peak broadening, texture or thermal motion is included.

Structural model:
```
data_Rb2NaScF6
_symmetry_space_group_name_H-M 'F m -3 m'
_symmetry_Int_Tables_number 225
_symmetry_space_group_name_Hall '-F 4 2 3'
_cell_length_a 8.749
_cell_length_b 8.749
_cell_length_c 8.749
_cell_angle_alpha 90.00
_cell_angle_beta 90.00
_cell_angle_gamma 90.00
loop_
_atom_site_label
_atom_site_fract_x
_atom_site_fract_y
_atom_site_fract_z
Rb1 0.250 0.250 0.250
Na1 0.000 0.000 0.000
Sc1 0.000 0.000 0.500
F1 0.000 0.000 0.267
```

Principal peaks in the range 2θ from 10° to 80°, in order of rising 2θ:
| h k l | d [Å] | 2θ (°) | I_rel |
| --- | --- | --- | --- |
| 1 1 1 | 5.051 | 17.56 | 7 |
| 2 0 0 | 4.375 | 20.30 | 10 |
| 2 2 0 | 3.093 | 28.86 | 100 |
| 2 2 2 | 2.526 | 35.54 | 44 |
| 4 0 0 | 2.187 | 41.28 | 56 |
| 4 2 2 | 1.786 | 51.15 | 39 |
| 4 4 0 | 1.547 | 59.80 | 32 |
| 6 2 0 | 1.383 | 67.74 | 18 |
| 6 2 2 | 1.319 | 71.53 | 13 |
| 4 4 4 | 1.263 | 75.25 | 10 |


[8]
Diffraction record for Rb2NaSmF6. The X-ray powder pattern is computed, not measured: it uses the PBE geometry in the Materials Project and Cu Kα, 1.54184 Å.
No peak broadening, texture or thermal motion is included.

Structural model:
```
data_Rb2NaSmF6
_symmetry_space_group_name_H-M 'F m -3 m'
_symmetry_Int_Tables_number 225
_symmetry_space_group_name_Hall '-F 4 2 3'
_cell_length_a 9.123
_cell_length_b 9.123
_cell_length_c 9.123
_cell_angle_alpha 90.00
_cell_angle_beta 90.00
_cell_angle_gamma 90.00
loop_
_atom_site_label
_atom_site_fract_x
_atom_site_fract_y
_atom_site_fract_z
Rb1 0.250 0.250 0.250
Na1 0.000 0.000 0.000
Sm1 0.000 0.000 0.500
F1 0.000 0.000 0.254
```

Principal peaks in the range 2θ from 10° to 80°, in order of rising 2θ:
| h k l | d [Å] | 2θ (°) | I_rel |
| --- | --- | --- | --- |
| 1 1 1 | 5.267 | 16.83 | 38 |
| 2 2 0 | 3.225 | 27.66 | 100 |
| 3 1 1 | 2.751 | 32.55 | 21 |
| 4 0 0 | 2.281 | 39.51 | 43 |
| 3 3 1 | 2.093 | 43.23 | 9 |
| 4 2 2 | 1.862 | 48.91 | 42 |
| 4 4 0 | 1.613 | 57.11 | 27 |
| 6 2 0 | 1.442 | 64.61 | 19 |
| 4 4 4 | 1.317 | 71.67 | 9 |
| 6 4 2 | 1.219 | 78.45 | 22 |